Starting from DFT lattice parameters and positions (PBE+U), the X-ray diffraction stick pattern of K3W2O4F6 was simulated for Cu Kα.
Lines closer than 0.1° are merged.

Unit cell a=11.5658 b=11.8786 c=8.6973 alpha=90.00 beta=114.56 gamma=90.00
Space group C2/c (No. 15)
Asymmetric unit:
K 0.0000 0.0000 0.0000
K 0.1505 0.3969 0.0019
W 0.2262 0.2937 0.6356
O 0.1397 0.2983 0.3868
O 0.1409 0.1854 0.6828
F 0.1085 0.4150 0.6565
F 0.1730 0.1771 0.1140
F 0.1748 0.0638 0.3734

Largest 10 diffraction maxima, by intensity, 10 to 90 degrees two-theta:
- hkl 2 0 0, 2θ = 16.86°, I = 100
- hkl 2 2 0, 2θ = 22.58°, I = 80
- hkl 1 1 1, 2θ = 18.20°, I = 70
- hkl 0 2 0, 2θ = 14.92°, I = 66
- hkl 1 1 -1, 2θ = 13.17°, I = 65
- hkl 1 1 -3, 2θ = 32.26°, I = 43
- hkl 2 0 -2, 2θ = 21.81°, I = 37
- hkl 0 2 1, 2θ = 18.68°, I = 34
- hkl 2 4 -1, 2θ = 34.21°, I = 32
- hkl 4 4 -1, 2θ = 43.79°, I = 30

---

Starting from DFT lattice parameters and positions (PBE+U), the X-ray diffraction stick pattern of KWO3F was simulated for Cu Kα.
Lines closer than 0.1° are merged.

Unit cell a=5.1637 b=18.4562 c=5.4719 alpha=90.00 beta=90.53 gamma=90.00
Space group C2/c (No. 15)
Asymmetric unit:
K 0.0000 0.2438 0.2500
W 0.0000 0.4673 0.7500
O 0.0000 0.3734 0.7500
O 0.2409 0.4998 0.0027
F 0.0000 0.2141 0.7500

Largest 10 diffraction maxima, by intensity, 10 to 90 degrees two-theta:
- hkl 1 1 0, 2θ = 17.84°, I = 100
- hkl 0 4 0, 2θ = 19.24°, I = 48
- hkl 1 3 0, 2θ = 22.48°, I = 40
- hkl 0 4 1, 2θ = 25.25°, I = 26
- hkl 1 3 -1, 2θ = 27.74°, I = 20
- hkl 1 3 1, 2θ = 27.93°, I = 20
- hkl 0 2 1, 2θ = 18.85°, I = 18
- hkl 1 3 -2, 2θ = 39.97°, I = 17
- hkl 0 0 2, 2θ = 32.73°, I = 17
- hkl 1 1 2, 2θ = 37.67°, I = 15